# 1
The following is a calculated powder XRD pattern of Nd6Sm2YEr. It was derived from a DFT-relaxed cell (PBE, Alexandria), using CuKα.
Peak positions follow from Bragg's law for the DFT cell and can differ from measured ones.

Top 8 peaks for 2θ = 10–90°, in order of falling intensity:
| 2θ (°) | d/Å | Rel. int. | h k l |
| --- | --- | --- | --- |
| 30.05 | 2.973 | 100 | 3 1 -1 |
| 30.88 | 2.896 | 89 | 2 2 2 |
| 33.13 | 2.704 | 51 | 1 3 -3 |
| 30.47 | 2.934 | 40 | 1 5 0 |
| 27.99 | 3.188 | 32 | 1 3 2 |
| 52.65 | 1.738 | 18 | 4 2 -4 |
| 31.49 | 2.841 | 17 | 1 5 -1 |
| 27.51 | 3.242 | 16 | 2 2 -2 |

```
data_Nd6Sm2YEr
_chemical_formula_sum 'Nd24 Sm8 Y4 Er4'
_symmetry_space_group_name_H-M 'C 1 2/c 1'
_symmetry_Int_Tables_number 15
_symmetry_space_group_name_Hall '-C 2yc'
_cell_length_a 9.243
_cell_length_b 15.485
_cell_length_c 9.747
_cell_angle_alpha 90.00
_cell_angle_beta 97.70
_cell_angle_gamma 90.00
loop_
_atom_site_label
_atom_site_fract_x
_atom_site_fract_y
_atom_site_fract_z
Nd1 0.059 0.182 0.446
Nd2 0.104 0.394 0.618
Nd3 0.209 0.222 0.810
Sm1 0.250 0.051 0.044
Y1 0.000 0.023 0.750
Er1 0.000 0.411 0.250
```



# 2
The following is a calculated powder XRD pattern of LiB3O5. It was derived from a DFT-relaxed cell (PBE, Alexandria), using CuKα.
Peak positions follow from Bragg's law for the DFT cell and can differ from measured ones.

Top 8 peaks for 2θ = 10–90°, in order of falling intensity:
| 2θ (°) | d/Å | Rel. int. | h k l |
| --- | --- | --- | --- |
| 23.21 | 3.832 | 100 | 1 1 1 |
| 29.55 | 3.022 | 82 | 2 1 1 |
| 26.94 | 3.309 | 76 | 2 0 1 |
| 36.37 | 2.470 | 56 | 2 2 1 |
| 15.84 | 5.596 | 41 | 1 1 0 |
| 38.01 | 2.368 | 31 | 3 1 1 |
| 40.29 | 2.238 | 30 | 0 3 1 |
| 31.31 | 2.857 | 29 | 1 2 1 |

```
data_LiB3O5
_chemical_formula_sum 'Li4 B12 O20'
_symmetry_space_group_name_H-M 'P n a 21'
_symmetry_Int_Tables_number 33
_symmetry_space_group_name_Hall 'P 2c -2n'
_cell_length_a 8.516
_cell_length_b 7.424
_cell_length_c 5.258
_cell_angle_alpha 90.00
_cell_angle_beta 90.00
_cell_angle_gamma 90.00
loop_
_atom_site_label
_atom_site_fract_x
_atom_site_fract_y
_atom_site_fract_z
Li1 0.080 0.069 0.000
B1 0.009 0.664 0.128
B2 0.159 0.747 0.755
B3 0.193 0.441 0.936
O1 0.058 0.797 0.955
O2 0.083 0.503 0.132
O3 0.114 0.294 0.787
O4 0.165 0.872 0.562
O5 0.240 0.588 0.757
```



# 3
The following is a calculated powder XRD pattern of Pr8Mg2Pd. It was derived from a DFT-relaxed cell (PBE, Alexandria), using CuKα.
Peak positions follow from Bragg's law for the DFT cell and can differ from measured ones.

Top 8 peaks for 2θ = 10–90°, in order of falling intensity:
| 2θ (°) | d/Å | Rel. int. | h k l |
| --- | --- | --- | --- |
| 32.24 | 2.777 | 100 | 0 2 0 |
| 29.92 | 2.986 | 36 | 5 1 0 |
| 29.66 | 3.012 | 29 | 5 1 -1 |
| 34.83 | 2.576 | 22 | 5 1 -2 |
| 29.80 | 2.999 | 21 | 1 1 -2 |
| 27.67 | 3.224 | 21 | 3 1 1 |
| 54.81 | 1.675 | 18 | 9 1 -3 |
| 29.39 | 3.039 | 15 | 6 0 -1 |

```
data_Pr8Mg2Pd
_chemical_formula_sum 'Pr16 Mg4 Pd2'
_symmetry_space_group_name_H-M 'C 1 2/m 1'
_symmetry_Int_Tables_number 12
_symmetry_space_group_name_Hall '-C 2y'
_cell_length_a 18.451
_cell_length_b 5.554
_cell_length_c 7.154
_cell_angle_alpha 90.00
_cell_angle_beta 106.35
_cell_angle_gamma 90.00
loop_
_atom_site_label
_atom_site_fract_x
_atom_site_fract_y
_atom_site_fract_z
Pr1 0.018 0.000 0.275
Pr2 0.094 0.500 0.932
Pr3 0.151 0.500 0.443
Pr4 0.198 0.000 0.771
Mg1 0.188 0.000 0.215
Pd1 0.000 0.500 0.500
```



# 4
The following is a calculated powder XRD pattern of NaHg2SbSe4. It was derived from a DFT-relaxed cell (PBE, Alexandria), using CuKα.
Peak positions follow from Bragg's law for the DFT cell and can differ from measured ones.

Top 8 peaks for 2θ = 10–90°, in order of falling intensity:
| 2θ (°) | d/Å | Rel. int. | h k l |
| --- | --- | --- | --- |
| 27.38 | 3.257 | 100 | 0 0 2 |
| 22.62 | 3.931 | 95 | 2 1 0 |
| 36.07 | 2.490 | 86 | 2 3 0 |
| 45.88 | 1.978 | 72 | 2 3 2 |
| 19.51 | 4.550 | 55 | 0 2 0 |
| 35.80 | 2.508 | 49 | 2 1 2 |
| 16.74 | 5.297 | 46 | 0 1 1 |
| 26.48 | 3.366 | 41 | 2 1 1 |

```
data_NaHg2SbSe4
_chemical_formula_sum 'Na2 Hg4 Sb2 Se8'
_symmetry_space_group_name_H-M 'P m n 21'
_symmetry_Int_Tables_number 31
_symmetry_space_group_name_Hall 'P 2ac -2'
_cell_length_a 8.718
_cell_length_b 9.100
_cell_length_c 6.514
_cell_angle_alpha 90.00
_cell_angle_beta 90.00
_cell_angle_gamma 90.00
loop_
_atom_site_label
_atom_site_fract_x
_atom_site_fract_y
_atom_site_fract_z
Na1 0.000 0.135 0.000
Hg1 0.221 0.342 0.470
Sb1 0.000 0.790 0.476
Se1 0.000 0.153 0.526
Se2 0.000 0.794 0.071
Se3 0.248 0.633 0.536
```



# 5
The following is a calculated powder XRD pattern of PmCo5Si3. It was derived from a DFT-relaxed cell (PBE, Alexandria), using CuKα.
Peak positions follow from Bragg's law for the DFT cell and can differ from measured ones.

Top 8 peaks for 2θ = 10–90°, in order of falling intensity:
| 2θ (°) | d/Å | Rel. int. | h k l |
| --- | --- | --- | --- |
| 34.75 | 2.582 | 100 | 1 1 3 |
| 40.87 | 2.208 | 63 | 1 1 4 |
| 33.22 | 2.697 | 62 | 1 3 0 |
| 36.95 | 2.433 | 61 | 1 3 2 |
| 48.86 | 1.864 | 50 | 2 0 0 |
| 31.55 | 2.836 | 43 | 0 4 1 |
| 28.21 | 3.164 | 41 | 0 2 3 |
| 45.72 | 1.984 | 35 | 1 5 0 |

```
data_PmCo5Si3
_chemical_formula_sum 'Pm4 Co20 Si12'
_symmetry_space_group_name_H-M 'C m c m'
_symmetry_Int_Tables_number 63
_symmetry_space_group_name_Hall '-C 2c 2'
_cell_length_a 3.728
_cell_length_b 11.719
_cell_length_c 11.275
_cell_angle_alpha 90.00
_cell_angle_beta 90.00
_cell_angle_gamma 90.00
loop_
_atom_site_label
_atom_site_fract_x
_atom_site_fract_y
_atom_site_fract_z
Pm1 0.000 0.170 0.250
Co1 0.000 0.000 0.000
Co2 0.000 0.193 0.565
Co3 0.000 0.450 0.146
Si1 0.000 0.108 0.750
Si2 0.000 0.381 0.540
```